Structure and simulated powder X-ray diffraction pattern of LiCr2SeO3 (a DFT-relaxed cell (PBE+U, Alexandria); copper Kα).

Cell lengths 6.2068, 6.2068, 15.5434 Å; angles 90.00, 90.00, 120.00 degrees
Space group R-3m (No. 166, hexagonal axes)
One atom of each set of equivalent atoms:
Li 0.0000 0.0000 0.0764 x6
Cr 0.0000 0.0000 0.5000 x3
Cr 0.0000 0.5000 0.0000 x9
Se 0.0000 0.0000 0.2257 x6
O 0.0468 0.5234 0.2605 x18

Most intense lines, 2θ from 10° to 90°, low angle first:
- (1 0 1), d = 5.080 Å, 17.46°, rel. 45
- (0 1 2), d = 4.421 Å, 20.09°, rel. 45
- (1 1 0), d = 3.103 Å, 28.77°, rel. 29
- (1 1 3), d = 2.662 Å, 33.66°, rel. 64
- (0 2 4), d = 2.210 Å, 40.82°, rel. 100
- (1 0 7), d = 2.052 Å, 44.13°, rel. 28
- (2 2 0), d = 1.552 Å, 59.58°, rel. 33
- (2 1 7), d = 1.499 Å, 61.90°, rel. 26